No. 1
For Er7Co6Sn23, a structure optimized by DFT (PBE) gives the simulated X-ray diffraction stick pattern in this record (copper Kα).

Peak list (10 most intense, 2θ from 5° to 70°, in order of rising 2θ)
two_theta	intensity
32.87	19
33.32	100
33.59	65
34.62	54
36.95	46
37.15	29
37.94	22
41.55	18
57.07	37
61.04	24

```
Er7Co6Sn23
1.0
9.680 0.000 0.000
-4.840 8.383 0.000
0.000 0.000 9.889
Er Co Sn
7 6 23
Direct
0.000 0.000 0.000
0.042 0.521 0.307
0.479 0.521 0.307
0.479 0.958 0.307
0.521 0.042 0.693
0.521 0.479 0.693
0.958 0.479 0.693
0.168 0.337 0.802
0.168 0.832 0.802
0.337 0.168 0.198
0.663 0.832 0.802
0.832 0.168 0.198
0.832 0.663 0.198
0.000 0.000 0.500
0.000 0.347 0.000
0.000 0.653 0.000
0.118 0.235 0.274
0.118 0.882 0.274
0.218 0.437 0.547
0.218 0.782 0.547
0.235 0.118 0.726
0.333 0.667 0.118
0.333 0.667 0.821
0.347 0.000 0.000
0.347 0.347 0.000
0.437 0.218 0.453
0.563 0.782 0.547
0.653 0.000 0.000
0.653 0.653 0.000
0.667 0.333 0.179
0.667 0.333 0.882
0.765 0.882 0.274
0.782 0.218 0.453
0.782 0.563 0.453
0.882 0.118 0.726
0.882 0.765 0.726
```


No. 2
For Er12CoSn6, a structure optimized by DFT (PBE) gives the simulated X-ray diffraction stick pattern in this record (copper Kα).

Peak list (10 most intense, 2θ from 5° to 70°, in order of rising 2θ)
two_theta	intensity
22.23	40
25.69	46
27.55	28
30.71	60
32.39	100
35.30	26
36.58	74
36.72	50
38.02	50
53.68	23

```
Er12CoSn6
1.0
6.475 3.738 4.019
-6.475 3.738 4.019
0.000 -7.477 4.019
Er Co Sn
12 1 6
Direct
0.011 0.693 0.946
0.054 0.989 0.307
0.198 0.424 0.555
0.307 0.054 0.989
0.424 0.555 0.198
0.445 0.802 0.576
0.555 0.198 0.424
0.576 0.445 0.802
0.693 0.946 0.011
0.802 0.576 0.445
0.946 0.011 0.693
0.989 0.307 0.054
0.000 0.000 0.000
0.121 0.643 0.312
0.312 0.121 0.643
0.357 0.688 0.879
0.643 0.312 0.121
0.688 0.879 0.357
0.879 0.357 0.688
```


No. 3
For ErCoSn4, a structure optimized by DFT (PBE) gives the simulated X-ray diffraction stick pattern in this record (copper Kα).

Peak list (10 most intense, 2θ from 5° to 70°, in order of rising 2θ)
two_theta	intensity
30.88	53
31.91	44
32.77	20
33.90	68
36.54	100
38.20	47
47.24	30
57.02	20
58.75	26
62.38	22

```
ErCoSn4
1.0
2.810 -2.645 0.000
2.810 2.645 0.000
-0.595 0.000 9.248
Er Co Sn
1 1 4
Direct
0.000 0.000 0.000
0.500 0.500 0.500
0.085 0.085 0.359
0.454 0.454 0.802
0.546 0.546 0.198
0.915 0.915 0.641
```


No. 4
For ErCoSn3, a structure optimized by DFT (PBE) gives the simulated X-ray diffraction stick pattern in this record (copper Kα).

Peak list (10 most intense, 2θ from 5° to 70°, in order of rising 2θ)
two_theta	intensity
28.35	31
29.89	80
33.72	13
35.77	100
38.14	16
41.30	30
43.48	29
46.95	13
61.52	19
63.16	13

```
ErCoSn3
1.0
4.162 0.000 0.000
0.000 8.593 3.383
0.000 -8.593 3.383
Er Co Sn
2 2 6
Direct
0.250 0.095 0.905
0.750 0.905 0.095
0.250 0.206 0.280
0.750 0.280 0.206
0.250 0.100 0.475
0.250 0.524 0.913
0.250 0.587 0.448
0.750 0.448 0.587
0.750 0.475 0.100
0.750 0.913 0.524
```


No. 5
For TbEr4Co, a structure optimized by DFT (PBE) gives the simulated X-ray diffraction stick pattern in this record (copper Kα).

Peak list (10 most intense, 2θ from 5° to 70°, in order of rising 2θ)
two_theta	intensity
30.02	100
31.79	35
33.04	32
33.29	11
39.16	21
46.50	25
55.55	11
57.15	17
59.61	18
61.41	11

```
TbEr4Co
1.0
2.711 -8.898 0.000
2.711 8.898 0.000
0.000 0.000 7.271
Tb Er Co
2 8 2
Direct
0.114 0.886 0.500
0.886 0.114 0.000
0.115 0.885 0.000
0.300 0.700 0.252
0.301 0.699 0.748
0.500 0.500 0.249
0.500 0.500 0.749
0.699 0.301 0.248
0.700 0.300 0.752
0.885 0.115 0.500
0.402 0.598 0.500
0.598 0.402 0.000
```


No. 6
For Tb5Er3Co2, a structure optimized by DFT (PBE) gives the simulated X-ray diffraction stick pattern in this record (copper Kα).

Peak list (10 most intense, 2θ from 5° to 70°, in order of rising 2θ)
two_theta	intensity
29.31	99
30.01	93
33.89	100
35.35	44
47.75	19
49.61	17
49.78	67
57.44	30
58.67	28
60.79	18

```
Tb5Er3Co2
1.0
-5.078 7.351 3.809
5.078 -7.351 3.809
5.078 7.351 -3.809
Tb Er Co
10 6 4
Direct
0.004 0.250 0.754
0.122 0.244 0.366
0.250 0.250 0.000
0.378 0.744 0.122
0.496 0.250 0.246
0.504 0.750 0.754
0.622 0.256 0.878
0.750 0.750 0.000
0.878 0.756 0.634
0.996 0.750 0.246
0.124 0.755 0.880
0.250 0.750 0.500
0.376 0.255 0.631
0.624 0.745 0.369
0.750 0.250 0.500
0.876 0.245 0.120
0.129 0.500 0.629
0.371 0.000 0.371
0.629 0.000 0.629
0.871 0.500 0.371
```


No. 7
For Tb2ErCo2, a structure optimized by DFT (PBE) gives the simulated X-ray diffraction stick pattern in this record (copper Kα).

Peak list (10 most intense, 2θ from 5° to 70°, in order of rising 2θ)
two_theta	intensity
28.65	53
29.89	61
32.22	63
32.70	58
34.02	100
34.78	47
35.91	70
36.07	45
39.32	56
47.86	46

```
Tb2ErCo2
1.0
6.173 -1.901 0.000
6.173 1.901 0.000
-5.490 0.000 9.360
Tb Er Co
4 2 4
Direct
0.035 0.035 0.194
0.165 0.165 0.574
0.835 0.835 0.426
0.965 0.965 0.806
0.285 0.285 0.138
0.715 0.715 0.862
0.394 0.394 0.953
0.491 0.491 0.607
0.509 0.509 0.393
0.606 0.606 0.047
```


No. 8
For TbErThCo, a structure optimized by DFT (PBE) gives the simulated X-ray diffraction stick pattern in this record (copper Kα).

Peak list (10 most intense, 2θ from 5° to 70°, in order of rising 2θ)
two_theta	intensity
27.76	54
29.05	30
29.43	41
34.01	100
40.62	38
48.61	12
49.10	37
57.63	21
58.07	27
61.06	16

```
TbErThCo
1.0
3.708 0.000 0.000
1.850 3.216 0.000
0.003 0.004 9.221
Tb Er Th Co
1 1 1 1
Direct
0.000 0.000 0.000
0.333 0.336 0.693
0.334 0.337 0.323
0.000 0.002 0.498
```


No. 9
For Er4CoTc, a structure optimized by DFT (PBE) gives the simulated X-ray diffraction stick pattern in this record (copper Kα).

Peak list (10 most intense, 2θ from 5° to 70°, in order of rising 2θ)
two_theta	intensity
27.76	46
32.28	93
32.50	28
33.33	75
36.23	75
37.02	100
46.02	30
55.70	23
57.33	31
57.41	21

```
Er4CoTc
1.0
5.848 0.000 0.000
0.000 6.420 0.000
-2.643 0.000 7.433
Er Co Tc
8 2 2
Direct
0.005 0.002 0.273
0.005 0.498 0.273
0.416 0.250 0.095
0.457 0.250 0.625
0.543 0.750 0.375
0.584 0.750 0.905
0.995 0.502 0.727
0.995 0.998 0.727
0.248 0.750 0.565
0.752 0.250 0.435
0.171 0.750 0.043
0.829 0.250 0.957
```


No. 10
For Er2CoTc3, a structure optimized by DFT (PBE) gives the simulated X-ray diffraction stick pattern in this record (copper Kα).

Peak list (10 most intense, 2θ from 5° to 70°, in order of rising 2θ)
two_theta	intensity
33.18	73
34.43	41
38.91	55
40.01	100
40.55	69
42.25	36
60.88	26
64.68	24
65.44	23
69.64	29

```
Er2CoTc3
1.0
2.605 1.504 4.494
-2.605 1.504 4.494
0.000 -3.008 4.494
Er Co Tc
2 1 3
Direct
0.125 0.125 0.125
0.875 0.875 0.875
0.500 0.500 0.500
0.000 0.500 0.500
0.500 0.000 0.500
0.500 0.500 0.000
```


No. 11
For Er7Co2Te2, a structure optimized by DFT (PBE) gives the simulated X-ray diffraction stick pattern in this record (copper Kα).

Peak list (10 most intense, 2θ from 5° to 70°, in order of rising 2θ)
two_theta	intensity
29.09	23
30.26	22
30.71	53
33.34	84
34.30	100
34.61	27
34.88	52
37.08	23
47.75	29
59.48	32

```
Er7Co2Te2
1.0
-1.905 7.774 4.715
1.905 -7.774 4.715
1.905 7.774 -4.715
Er Co Te
7 2 2
Direct
0.000 0.000 0.000
0.286 0.420 0.866
0.310 0.625 0.685
0.555 0.420 0.134
0.624 0.272 0.351
0.921 0.272 0.649
0.939 0.625 0.315
0.168 0.931 0.237
0.694 0.931 0.763
0.267 0.767 0.500
0.665 0.665 0.000
```


No. 12
For Er8Co3Te2, a structure optimized by DFT (PBE) gives the simulated X-ray diffraction stick pattern in this record (copper Kα).

Peak list (10 most intense, 2θ from 5° to 70°, in order of rising 2θ)
two_theta	intensity
11.95	35
26.90	38
31.26	45
32.16	25
33.31	100
34.95	41
36.41	22
45.96	23
48.69	37
49.41	21

```
Er8Co3Te2
1.0
8.472 0.000 0.000
0.000 3.950 0.000
-2.278 0.000 11.135
Er Co Te
8 3 2
Direct
0.043 0.000 0.352
0.213 0.500 0.890
0.306 0.500 0.606
0.440 0.000 0.139
0.560 0.000 0.861
0.694 0.500 0.394
0.787 0.500 0.110
0.957 0.000 0.648
0.000 0.500 0.500
0.268 0.000 0.753
0.732 0.000 0.247
0.170 0.500 0.167
0.830 0.500 0.833
```


Please write out number 10 again, unchanged.
For Er2CoTc3, a structure optimized by DFT (PBE) gives the simulated X-ray diffraction stick pattern in this record (copper Kα).

Peak list (10 most intense, 2θ from 5° to 70°, in order of rising 2θ)
two_theta	intensity
33.18	73
34.43	41
38.91	55
40.01	100
40.55	69
42.25	36
60.88	26
64.68	24
65.44	23
69.64	29

```
Er2CoTc3
1.0
2.605 1.504 4.494
-2.605 1.504 4.494
0.000 -3.008 4.494
Er Co Tc
2 1 3
Direct
0.125 0.125 0.125
0.875 0.875 0.875
0.500 0.500 0.500
0.000 0.500 0.500
0.500 0.000 0.500
0.500 0.500 0.000
```


Please write out number 7 again, unchanged.
For Tb2ErCo2, a structure optimized by DFT (PBE) gives the simulated X-ray diffraction stick pattern in this record (copper Kα).

Peak list (10 most intense, 2θ from 5° to 70°, in order of rising 2θ)
two_theta	intensity
28.65	53
29.89	61
32.22	63
32.70	58
34.02	100
34.78	47
35.91	70
36.07	45
39.32	56
47.86	46

```
Tb2ErCo2
1.0
6.173 -1.901 0.000
6.173 1.901 0.000
-5.490 0.000 9.360
Tb Er Co
4 2 4
Direct
0.035 0.035 0.194
0.165 0.165 0.574
0.835 0.835 0.426
0.965 0.965 0.806
0.285 0.285 0.138
0.715 0.715 0.862
0.394 0.394 0.953
0.491 0.491 0.607
0.509 0.509 0.393
0.606 0.606 0.047
```